# Ba2AlZn6Ag
Theoretical powder XRD pattern, copper Kα. Input: a structure optimized by DFT (PBE).
No peak broadening, texture or thermal motion is included.

The 10 most intense peaks (2θ from 10° to 90°), most intense first:
- (1 -1 1), 3.185 Å, I 100.0
- (2 2 0), 2.432 Å, I 96.7
- (1 1 2), 3.435 Å, I 51.1
- (1 0 2), 3.196 Å, I 34.7
- (0 2 1), 3.007 Å, I 32.8
- (2 0 0), 2.580 Å, I 27.2
- (2 2 2), 2.570 Å, I 27.0
- (0 1 0), 6.219 Å, I 24.6
- (1 0 -1), 3.455 Å, I 20.6
- (1 0 -2), 2.350 Å, I 19.7

Atomic structure:
Cell: 6.0680 7.0051 7.0355 Å, 70.75 64.72 64.45°
Element x y z (fractional)
Ba1 0.2441 0.3430 0.1672
Ba2 0.7559 0.6570 0.8328
Al1 0.5000 0.5000 0.5000
Zn1 0.1930 0.8155 0.3094
Zn2 0.2506 0.8667 0.6337
Zn3 0.3188 0.1841 0.6896
Zn4 0.6812 0.8159 0.3104
Zn5 0.7494 0.1333 0.3663
Zn6 0.8070 0.1845 0.6906
Ag1 0.0000 0.0000 0.0000